1.
CaTmIr: theoretical powder X-ray diffraction pattern (Cu Ka), based on a cell relaxed with GGA-PBE.
Kinematic intensities with the Lorentz-polarization factor, no thermal factor.

Main lines, in order of rising 2θ (10° ≤ 2θ ≤ 90°):
| two_theta | Rel. int. |
| --- | --- |
| 20.18 | 50 |
| 23.63 | 58 |
| 31.26 | 63 |
| 34.22 | 100 |
| 41.03 | 37 |
| 41.53 | 53 |
| 42.01 | 96 |
| 65.93 | 40 |

Structural model:
```
data_CaTmIr
_cell_length_a 8.8001
_cell_length_b 13.0448
_cell_length_c 7.5321
_cell_angle_alpha 90.00
_cell_angle_beta 90.00
_cell_angle_gamma 90.00
_space_group_name_H-M_alt 'I m a 2'
_space_group_IT_number 46
_space_group_name_Hall 'I 2 -2a'
loop_
_atom_site_label
_atom_site_type_symbol
_atom_site_fract_x
_atom_site_fract_y
_atom_site_fract_z
Ca1 Ca 0.2500 0.9998 0.0000
Ca2 Ca 0.2500 0.2063 0.6194
Ca3 Ca 0.2500 0.7066 0.1193
Tm1 Tm 0.0000 0.0000 0.6721
Tm2 Tm 0.0002 0.1294 0.2833
Ir1 Ir 0.0003 0.1668 0.9129
Ir2 Ir 0.2500 0.9999 0.4129
```

---

2.
BaZn2GaAg: theoretical powder X-ray diffraction pattern (Cu Ka), based on a cell relaxed with GGA-PBE.
Kinematic intensities with the Lorentz-polarization factor, no thermal factor.

Main lines, in order of rising 2θ (10° ≤ 2θ ≤ 90°):
| two_theta | Rel. int. |
| --- | --- |
| 31.73 | 100 |
| 32.11 | 28 |
| 32.22 | 30 |
| 37.51 | 35 |
| 37.91 | 34 |
| 48.20 | 17 |
| 50.27 | 17 |
| 54.39 | 23 |

Structural model:
```
data_BaZn2GaAg
_cell_length_a 4.7473
_cell_length_b 4.7950
_cell_length_c 10.2782
_cell_angle_alpha 90.00
_cell_angle_beta 90.00
_cell_angle_gamma 90.00
_space_group_name_H-M_alt 'I m m 2'
_space_group_IT_number 44
_space_group_name_Hall 'I 2 -2'
loop_
_atom_site_label
_atom_site_type_symbol
_atom_site_fract_x
_atom_site_fract_y
_atom_site_fract_z
Ba1 Ba 0.0000 0.0000 0.0000
Zn1 Zn 0.0000 0.0000 0.3739
Zn2 Zn 0.0000 0.5000 0.2473
Ga1 Ga 0.0000 0.0000 0.6283
Ag1 Ag 0.0000 0.5000 0.7466
```

---

3.
PmPd6Au: theoretical powder X-ray diffraction pattern (Cu Ka), based on a cell relaxed with GGA-PBE.
Kinematic intensities with the Lorentz-polarization factor, no thermal factor.

Main lines, in order of rising 2θ (10° ≤ 2θ ≤ 90°):
| two_theta | Rel. int. |
| --- | --- |
| 34.42 | 45 |
| 38.64 | 79 |
| 42.50 | 100 |
| 64.48 | 17 |
| 67.23 | 51 |
| 72.57 | 16 |
| 82.86 | 14 |
| 85.38 | 16 |

Structural model:
```
data_PmPd6Au
_cell_length_a 5.2105
_cell_length_b 5.2105
_cell_length_c 5.2105
_cell_angle_alpha 90.00
_cell_angle_beta 90.00
_cell_angle_gamma 90.00
_space_group_name_H-M_alt 'P m -3'
_space_group_IT_number 200
_space_group_name_Hall '-P 2 2 3'
loop_
_atom_site_label
_atom_site_type_symbol
_atom_site_fract_x
_atom_site_fract_y
_atom_site_fract_z
Pm1 Pm 0.0000 0.0000 0.0000
Pd1 Pd 0.0000 0.2554 0.5000
Au1 Au 0.5000 0.5000 0.5000
```

---

4.
Y3Be2Co4: theoretical powder X-ray diffraction pattern (Cu Ka), based on a cell relaxed with GGA-PBE.
Kinematic intensities with the Lorentz-polarization factor, no thermal factor.

Main lines, in order of rising 2θ (10° ≤ 2θ ≤ 90°):
| two_theta | Rel. int. |
| --- | --- |
| 11.16 | 18 |
| 26.81 | 14 |
| 35.22 | 100 |
| 45.77 | 13 |
| 47.35 | 36 |
| 60.37 | 20 |
| 67.97 | 23 |
| 80.09 | 17 |

Structural model:
```
data_Y3Be2Co4
_cell_length_a 3.8400
_cell_length_b 3.8400
_cell_length_c 23.7869
_cell_angle_alpha 90.00
_cell_angle_beta 90.00
_cell_angle_gamma 120.00
_space_group_name_H-M_alt 'P -6 m 2'
_space_group_IT_number 187
_space_group_name_Hall 'P -6 2'
loop_
_atom_site_label
_atom_site_type_symbol
_atom_site_fract_x
_atom_site_fract_y
_atom_site_fract_z
Y1 Y 0.0000 0.0000 0.0843
Y2 Y 0.0000 0.0000 0.2480
Y3 Y 0.0000 0.0000 0.4153
Be1 Be 0.3333 0.6667 0.5000
Be2 Be 0.6667 0.3333 0.1662
Be3 Be 0.6667 0.3333 0.5000
Co1 Co 0.3333 0.6667 0.0000
Co2 Co 0.3333 0.6667 0.1664
Co3 Co 0.3333 0.6667 0.3319
Co4 Co 0.6667 0.3333 0.0000
Co5 Co 0.6667 0.3333 0.3325
```

---

5.
CsCe4S8: theoretical powder X-ray diffraction pattern (Cu Ka), based on a cell relaxed with GGA-PBE.
Kinematic intensities with the Lorentz-polarization factor, no thermal factor.

Main lines, in order of rising 2θ (10° ≤ 2θ ≤ 90°):
| two_theta | Rel. int. |
| --- | --- |
| 19.79 | 26 |
| 26.11 | 47 |
| 27.97 | 35 |
| 32.98 | 100 |
| 40.09 | 30 |
| 46.07 | 29 |
| 48.57 | 29 |
| 57.81 | 20 |

Structural model:
```
data_CsCe4S8
_cell_length_a 7.8814
_cell_length_b 7.8814
_cell_length_c 17.9446
_cell_angle_alpha 90.00
_cell_angle_beta 90.00
_cell_angle_gamma 120.00
_space_group_name_H-M_alt 'P 63/m m c'
_space_group_IT_number 194
_space_group_name_Hall '-P 6c 2c'
loop_
_atom_site_label
_atom_site_type_symbol
_atom_site_fract_x
_atom_site_fract_y
_atom_site_fract_z
Cs1 Cs 0.0000 0.0000 0.0000
Ce1 Ce 0.0000 0.0000 0.2500
Ce2 Ce 0.0015 0.5008 0.2500
S1 S 0.1658 0.3316 0.6608
S2 S 0.3333 0.6667 0.1611
```

---

6.
Na3Li2Br3Cl2: theoretical powder X-ray diffraction pattern (Cu Ka), based on a cell relaxed with GGA-PBE.
Kinematic intensities with the Lorentz-polarization factor, no thermal factor.

Main lines, in order of rising 2θ (10° ≤ 2θ ≤ 90°):
| two_theta | Rel. int. |
| --- | --- |
| 25.72 | 29 |
| 26.27 | 100 |
| 29.44 | 100 |
| 32.29 | 31 |
| 39.48 | 30 |
| 42.12 | 40 |
| 44.26 | 51 |
| 50.32 | 31 |

Structural model:
```
data_Na3Li2Br3Cl2
_cell_length_a 4.2906
_cell_length_b 4.2906
_cell_length_c 27.7146
_cell_angle_alpha 90.00
_cell_angle_beta 90.00
_cell_angle_gamma 90.00
_space_group_name_H-M_alt 'I 4/m m m'
_space_group_IT_number 139
_space_group_name_Hall '-I 4 2'
loop_
_atom_site_label
_atom_site_type_symbol
_atom_site_fract_x
_atom_site_fract_y
_atom_site_fract_z
Na1 Na 0.0000 0.0000 0.0000
Na2 Na 0.0000 0.0000 0.3941
Li1 Li 0.0000 0.5000 0.2500
Br1 Br 0.0000 0.0000 0.1099
Br2 Br 0.0000 0.0000 0.5000
Cl1 Cl 0.0000 0.0000 0.2870
```

---

7.
SiP2W: theoretical powder X-ray diffraction pattern (Cu Ka), based on a cell relaxed with GGA-PBE.
Kinematic intensities with the Lorentz-polarization factor, no thermal factor.

Main lines, in order of rising 2θ (10° ≤ 2θ ≤ 90°):
| two_theta | Rel. int. |
| --- | --- |
| 20.48 | 100 |
| 20.77 | 85 |
| 29.35 | 87 |
| 29.50 | 52 |
| 36.16 | 92 |
| 36.30 | 55 |
| 46.96 | 49 |
| 47.31 | 47 |

Structural model:
```
data_SiP2W
_cell_length_a 8.6746
_cell_length_b 3.2497
_cell_length_c 4.2774
_cell_angle_alpha 90.00
_cell_angle_beta 90.66
_cell_angle_gamma 90.00
_space_group_name_H-M_alt 'C 1 m 1'
_space_group_IT_number 8
_space_group_name_Hall 'C -2y'
loop_
_atom_site_label
_atom_site_type_symbol
_atom_site_fract_x
_atom_site_fract_y
_atom_site_fract_z
Si1 Si 0.0000 0.0000 0.0000
P1 P 0.2374 0.5000 0.0688
P2 P 0.4482 0.0000 0.5890
W1 W 0.1614 0.0000 0.4830
```

---

8.
Tb3Mg2Rh3: theoretical powder X-ray diffraction pattern (Cu Ka), based on a cell relaxed with GGA-PBE.
Kinematic intensities with the Lorentz-polarization factor, no thermal factor.

Main lines, in order of rising 2θ (10° ≤ 2θ ≤ 90°):
| two_theta | Rel. int. |
| --- | --- |
| 21.65 | 52 |
| 30.87 | 48 |
| 36.88 | 100 |
| 38.00 | 88 |
| 48.79 | 21 |
| 49.71 | 26 |
| 58.87 | 44 |
| 76.41 | 24 |

Structural model:
```
data_Tb3Mg2Rh3
_cell_length_a 8.2083
_cell_length_b 8.2083
_cell_length_c 5.7929
_cell_angle_alpha 90.00
_cell_angle_beta 90.00
_cell_angle_gamma 120.00
_space_group_name_H-M_alt 'P 63/m c m'
_space_group_IT_number 193
_space_group_name_Hall '-P 6c 2'
loop_
_atom_site_label
_atom_site_type_symbol
_atom_site_fract_x
_atom_site_fract_y
_atom_site_fract_z
Tb1 Tb 0.0000 0.2706 0.2500
Mg1 Mg 0.3333 0.6667 0.0000
Rh1 Rh 0.0000 0.3900 0.7500
```